No. 1
Diffraction record for La2Nb2N2O5. The powder XRD pattern is computed, not measured: it uses a PBE-relaxed structure and a wavelength of 1.5418 Å.

Principal peaks in the range 2θ = 15–90°, most intense first:
two_theta, Rel. int.
28.75, 100
28.97, 92
31.31, 85
26.22, 80
31.95, 79
31.61, 71
45.03, 66
27.29, 50
55.87, 38
40.83, 31

Structural model:
abc: 5.715 8.053 13.744
angles: 81.62 88.82 89.99
Space group P1 (No. 1)
Asymmetric unit:
La 0.000 0.000 0.000
La 0.008 0.124 0.528
La 0.021 0.609 0.499
La 0.434 0.205 0.186
La 0.486 0.665 0.235
La 0.508 0.559 0.712
La 0.520 0.063 0.741
La 0.943 0.476 0.051
Nb 0.007 0.803 0.737
Nb 0.033 0.321 0.728
Nb 0.489 0.751 0.945
Nb 0.508 0.868 0.501
Nb 0.509 0.375 0.494
Nb 0.510 0.280 0.931
Nb 0.979 0.924 0.292
Nb 0.986 0.411 0.295
N 0.215 0.465 0.188
N 0.233 0.377 0.605
N 0.316 0.309 0.809
N 0.318 0.466 0.391
N 0.580 0.516 0.922
N 0.727 0.422 0.209
N 0.832 0.364 0.440
N 0.952 0.567 0.727
O 0.085 0.156 0.315
O 0.099 0.061 0.705
O 0.186 0.929 0.179
O 0.191 0.721 0.006
O 0.232 0.247 0.028
O 0.249 0.803 0.599
O 0.319 0.839 0.393
O 0.328 0.774 0.797
O 0.420 0.001 0.923
O 0.452 0.109 0.508
O 0.599 0.617 0.531
O 0.692 0.752 0.055
O 0.694 0.964 0.233
O 0.720 0.202 0.049
O 0.733 0.287 0.644
O 0.743 0.877 0.638
O 0.800 0.213 0.849
O 0.810 0.841 0.847
O 0.829 0.907 0.439
O 0.926 0.675 0.314

No. 2
Diffraction record for ErSnPt2. The powder XRD pattern is computed, not measured: it uses a PBE-relaxed structure and a wavelength of 1.5418 Å.

Principal peaks in the range 2θ = 15–90°, most intense first:
two_theta, Rel. int.
37.53, 100
39.60, 87
55.70, 32
70.48, 32
22.56, 19
71.84, 16
66.33, 13
30.06, 12
85.29, 10
75.61, 10

Structural model:
abc: 4.5519 4.5519 9.0540
angles: 90.00 90.00 120.00
Space group P6_3/mmc (No. 194)
Asymmetric unit:
Er 0.3333 0.6667 0.2500
Sn 0.0000 0.0000 0.0000
Pt 0.3333 0.6667 0.5899

No. 3
Diffraction record for ErNi2Sb2. The powder XRD pattern is computed, not measured: it uses a PBE-relaxed structure and a wavelength of 1.5418 Å.

Principal peaks in the range 2θ = 15–90°, most intense first:
two_theta, Rel. int.
33.99, 100
41.30, 67
33.56, 64
54.23, 34
49.66, 28
70.63, 23
59.83, 22
66.51, 21
28.88, 16
46.39, 15

Structural model:
abc: 4.372 4.372 10.115
angles: 90.00 90.00 90.00
Space group P4/nmm (No. 129, origin choice 2)
Asymmetric unit:
Er 0.250 0.250 0.236
Ni 0.250 0.250 0.629
Ni 0.250 0.750 0.000
Sb 0.250 0.250 0.872
Sb 0.250 0.750 0.500

No. 4
Diffraction record for CdGe3. The powder XRD pattern is computed, not measured: it uses a PBE-relaxed structure and a wavelength of 1.5418 Å.

Principal peaks in the range 2θ = 15–90°, most intense first:
two_theta, Rel. int.
38.14, 100
35.80, 27
33.52, 24
71.80, 20
65.88, 19
59.92, 17
49.85, 15
73.28, 14
24.33, 5
81.60, 3

Structural model:
abc: 6.1748 6.1748 5.0164
angles: 90.00 90.00 120.00
Space group P6_3/mmc (No. 194)
Asymmetric unit:
Cd 0.3333 0.6667 0.2500
Ge 0.1634 0.3267 0.7500